Record 1
For LiInW2, a crystal structure in Alexandria, relaxed with PBE gives the calculated PXRD pattern in this record (Cu Kα X-rays).
No peak broadening, texture or thermal motion is included.

Top 8 peaks for 10° ≤ 2θ ≤ 80°, in order of rising 2θ:
| d/Å | I (rel.) |
| --- | --- |
| 5.363 | 68 |
| 3.628 | 23 |
| 2.393 | 49 |
| 2.340 | 100 |
| 2.309 | 49 |
| 2.251 | 42 |
| 1.942 | 56 |
| 1.451 | 22 |

Cell and atoms:
```
LiInW2
1.0
9.2596 0.0000 0.0000
0.0000 2.7391 0.0000
-0.3776 0.0000 5.3628
Li In W
2 2 4
direct
0.0000 0.0000 0.0000 Li
0.5000 0.5000 0.0000 Li
0.2475 0.0000 0.7811 In
0.7475 0.5000 0.7811 In
0.0070 0.5000 0.4786 W
0.2547 0.5000 0.2741 W
0.5070 0.0000 0.4786 W
0.7547 0.0000 0.2741 W
```

---

Record 2
For LiY2In, a crystal structure in Alexandria, relaxed with PBE gives the calculated PXRD pattern in this record (Cu Kα X-rays).
No peak broadening, texture or thermal motion is included.

Top 8 peaks for 10° ≤ 2θ ≤ 80°, in order of rising 2θ:
| d/Å | I (rel.) |
| --- | --- |
| 4.903 | 24 |
| 3.826 | 24 |
| 2.792 | 100 |
| 2.672 | 51 |
| 2.595 | 60 |
| 2.452 | 30 |
| 1.806 | 31 |
| 1.461 | 24 |

Cell and atoms:
```
LiY2In
1.0
3.5362 0.0000 0.0000
0.0000 4.9032 0.0000
-1.7624 0.0000 6.1177
Li Y In
1 2 1
direct
0.0000 0.0000 0.0000 Li
0.2729 0.0000 0.5426 Y
0.6040 0.5000 0.2061 Y
0.8746 0.5000 0.7451 In
```

---

Record 3
For Li2Y3In4, a crystal structure in Alexandria, relaxed with PBE gives the calculated PXRD pattern in this record (Cu Kα X-rays).
No peak broadening, texture or thermal motion is included.

Top 8 peaks for 10° ≤ 2θ ≤ 80°, in order of rising 2θ:
| d/Å | I (rel.) |
| --- | --- |
| 5.433 | 26 |
| 4.361 | 28 |
| 3.363 | 34 |
| 2.712 | 74 |
| 2.690 | 89 |
| 2.460 | 100 |
| 2.443 | 51 |
| 1.809 | 33 |

Cell and atoms:
```
Li2Y3In4
1.0
5.4822 -2.4430 0.0000
5.4822 2.4430 0.0000
-4.3739 0.0000 8.1894
Li Y In
2 3 4
direct
0.1101 0.1101 0.2814 Li
0.8899 0.8899 0.7186 Li
0.1658 0.1658 0.6592 Y
0.5000 0.5000 0.0000 Y
0.8342 0.8342 0.3408 Y
0.2321 0.2321 0.0794 In
0.4496 0.4496 0.6236 In
0.5504 0.5504 0.3764 In
0.7679 0.7679 0.9206 In
```